Calculated X-ray diffraction stick pattern
Compound: Pr2Nd3Dy6Tm
Radiation: a wavelength of 1.5418 Å
Structure: a cell relaxed with PBE
Neutral-atom scattering factors, no anomalous dispersion.

```
data_Pr2Nd3Dy6Tm
_space_group_name_H-M_alt 'C 1 2/m 1'
_space_group_IT_number 12
_space_group_name_Hall '-C 2y'
_cell_length_a 6.2426
_cell_length_b 10.8099
_cell_length_c 11.8877
_cell_angle_alpha 90.00
_cell_angle_beta 100.06
_cell_angle_gamma 90.00
loop_
_atom_site_label
_atom_site_type_symbol
_atom_site_fract_x
_atom_site_fract_y
_atom_site_fract_z
_atom_site_occupancy
Pr1 Pr 0.0000 0.1663 0.0000 1
Nd1 Nd 0.0000 0.0000 0.5000 1
Nd2 Nd 0.0000 0.3331 0.5000 1
Dy1 Dy 0.2492 0.3338 0.2491 1
Dy2 Dy 0.2490 0.5000 0.7504 1
Tm1 Tm 0.0000 0.5000 0.0000 1
```

Largest 10 diffraction maxima, most intense first, 2θ from 10° to 90°:
| 2theta | I_rel | (hkl) |
| --- | --- | --- |
| 30.40 | 1000 | 1 3 1 |
| 35.29 | 673 | 2 0 2 |
| 30.55 | 329 | 0 0 4 |
| 50.66 | 242 | 0 6 0 |
| 60.27 | 239 | 4 0 0 |
| 50.86 | 239 | 1 3 5 |
| 60.33 | 191 | 0 6 4 |
| 60.50 | 142 | 2 0 6 |
| 63.25 | 124 | 2 6 2 |
| 82.51 | 118 | 4 6 0 |